For CaTb7Pm4, a structure optimized by DFT (PBE) gives the simulated X-ray diffraction stick pattern in this record (Cu Ka).

Main lines, low angle first (2θ from 10° to 90°):
2θ/deg, Rel. int.
30.1, 666
30.8, 674
30.9, 1000
31.1, 978
31.8, 982
32.0, 333
32.3, 619
32.5, 399
34.0, 306
63.3, 326

Atomic structure:
abc: 6.5771 6.9326 9.1371
angles: 86.99 77.29 83.02
Fractional positions:
Ca (0.0000, 0.0000, 0.0000)
Tb (0.0000, 0.5000, 0.0000)
Tb (0.1967, 0.0961, 0.3833)
Tb (0.3136, 0.6996, 0.6400)
Tb (0.4881, 0.2548, 0.0496)
Tb (0.5119, 0.7452, 0.9504)
Tb (0.6864, 0.3004, 0.3600)
Tb (0.8033, 0.9039, 0.6167)
Pm (0.1559, 0.6025, 0.3146)
Pm (0.3621, 0.2020, 0.7139)
Pm (0.6379, 0.7980, 0.2861)
Pm (0.8441, 0.3975, 0.6854)

For GaFeMoPt, a structure optimized by DFT (PBE) gives the simulated X-ray diffraction stick pattern in this record (Cu Ka).

Main lines, low angle first (2θ from 10° to 90°):
2θ/deg, Rel. int.
25.2, 122
29.2, 180
41.7, 1000
49.4, 67
51.7, 51
60.5, 164
66.6, 28
68.5, 69
76.2, 331
81.7, 22

Atomic structure:
abc: 4.3291 4.3291 4.3291
angles: 60.00 60.00 60.00
Fractional positions:
Ga (0.0000, 0.0000, 0.0000)
Fe (0.5000, 0.5000, 0.5000)
Mo (0.7500, 0.7500, 0.7500)
Pt (0.2500, 0.2500, 0.2500)

For Ca5Ac6La, a structure optimized by DFT (PBE) gives the simulated X-ray diffraction stick pattern in this record (Cu Ka).

Main lines, low angle first (2θ from 10° to 90°):
2θ/deg, Rel. int.
15.8, 304
22.8, 268
27.8, 1000
31.8, 175
32.4, 338
36.2, 179
39.5, 133
46.1, 252
54.3, 153
55.0, 303

Atomic structure:
abc: 10.3962 10.3962 10.3962
angles: 149.20 114.50 74.12
Fractional positions:
Ca (0.0000, 0.0000, 0.0000)
Ca (0.1646, 0.6646, 0.5000)
Ca (0.3327, 0.3327, 0.0000)
Ca (0.6673, 0.6673, 0.0000)
Ca (0.8354, 0.3354, 0.5000)
Ac (0.0902, 0.8355, 0.2548)
Ac (0.2574, 0.5000, 0.7574)
Ac (0.4193, 0.1645, 0.2548)
Ac (0.5807, 0.8355, 0.7452)
Ac (0.7426, 0.5000, 0.2426)
Ac (0.9098, 0.1645, 0.7452)
La (0.5000, 0.0000, 0.5000)

For LaTm2CrN4, a structure optimized by DFT (PBE) gives the simulated X-ray diffraction stick pattern in this record (Cu Ka).

Main lines, low angle first (2θ from 10° to 90°):
2θ/deg, Rel. int.
27.9, 669
30.9, 471
31.1, 323
31.5, 1000
36.0, 371
38.6, 587
48.4, 268
50.2, 206
53.5, 209
53.6, 271

Atomic structure:
abc: 6.0401 6.0401 11.4990
angles: 90.00 90.00 147.31
Fractional positions:
La (0.0920, 0.9080, 0.7500)
La (0.9080, 0.0920, 0.2500)
Tm (0.3694, 0.6306, 0.5434)
Tm (0.3694, 0.6306, 0.9566)
Tm (0.6306, 0.3694, 0.0434)
Tm (0.6306, 0.3694, 0.4566)
Cr (0.1693, 0.8307, 0.2500)
Cr (0.8307, 0.1693, 0.7500)
N (0.0000, 0.0000, 0.0000)
N (0.0000, 0.0000, 0.5000)
N (0.2624, 0.7376, 0.1230)
N (0.2624, 0.7376, 0.3770)
N (0.4174, 0.5826, 0.7500)
N (0.5826, 0.4174, 0.2500)
N (0.7376, 0.2624, 0.6230)
N (0.7376, 0.2624, 0.8770)

For PmErHgC, a structure optimized by DFT (PBE) gives the simulated X-ray diffraction stick pattern in this record (Cu Ka).

Main lines, low angle first (2θ from 10° to 90°):
2θ/deg, Rel. int.
28.8, 336
29.5, 254
32.2, 917
33.5, 423
34.2, 1000
50.5, 439
57.8, 158
61.5, 192
62.0, 442
62.4, 176

Atomic structure:
abc: 8.2965 8.2965 8.2965
angles: 25.15 25.15 25.15
Fractional positions:
Pm (0.0000, 0.0000, 0.0000)
Er (0.7810, 0.7810, 0.7810)
Hg (0.2206, 0.2206, 0.2206)
C (0.3938, 0.3938, 0.3938)

For Tb5AuSe4, a structure optimized by DFT (PBE) gives the simulated X-ray diffraction stick pattern in this record (Cu Ka).

Main lines, low angle first (2θ from 10° to 90°):
2θ/deg, Rel. int.
26.5, 147
30.5, 505
30.7, 1000
43.8, 755
44.0, 373
54.5, 398
72.2, 172
72.5, 169
72.6, 168
80.8, 254

Atomic structure:
abc: 7.1374 7.1374 7.1374
angles: 99.70 99.70 131.53
Fractional positions:
Tb (0.0000, 0.0000, 0.0000)
Tb (0.2015, 0.3986, 0.6001)
Tb (0.3986, 0.7985, 0.1971)
Tb (0.6014, 0.2015, 0.8029)
Tb (0.7985, 0.6014, 0.3999)
Au (0.5000, 0.5000, 0.0000)
Se (0.0974, 0.6967, 0.7941)
Se (0.3033, 0.0974, 0.4006)
Se (0.6967, 0.9026, 0.5994)
Se (0.9026, 0.3033, 0.2059)